[1]
Diffraction record for Tb4SnIr. The powder XRD pattern is simulated, not measured: it uses DFT lattice parameters and positions (PBE) and Cu Kα.

Cell and atoms:
Cell lengths 5.6822, 6.7735, 8.5847 Å; angles 90.00, 100.26, 90.00 degrees
Space group P2_1/m (No. 11)
Symmetry-distinct sites (fractional):
Tb 0.1410 0.2500 0.0607 (multiplicity 2)
Tb 0.2083 0.7500 0.3573 (multiplicity 2)
Tb 0.3367 0.5088 0.7629 (multiplicity 4)
Sn 0.2327 0.2500 0.4290 (multiplicity 2)
Ir 0.3505 0.7500 0.0457 (multiplicity 2)

Most intense lines, 2θ = 10–80°, by angle:
| 2θ/deg | intensity | index |
| --- | --- | --- |
| 10.47 | 42 | 0 0 1 |
| 31.70 | 91 | 1 2 -1 |
| 31.86 | 39 | 2 0 -1 |
| 32.01 | 36 | 2 0 0 |
| 32.97 | 71 | 1 0 -3 |
| 33.62 | 84 | 1 2 1 |
| 33.93 | 100 | 0 2 2 |
| 35.60 | 42 | 1 1 -3 |
| 38.26 | 37 | 1 0 3 |
| 57.24 | 39 | 3 2 -2 |



[2]
Diffraction record for TcSnIr. The powder XRD pattern is simulated, not measured: it uses DFT lattice parameters and positions (PBE) and Cu Kα.

Cell and atoms:
Cell lengths 4.9874, 2.9546, 7.1053 Å; angles 90.00, 107.01, 90.00 degrees
Space group Pm (No. 6)
Symmetry-distinct sites (fractional):
Tc 0.0000 0.0000 0.0000 (multiplicity 1)
Tc 0.1519 0.0000 0.6401 (multiplicity 1)
Sn 0.4193 0.0000 0.3519 (multiplicity 1)
Sn 0.4710 0.5000 0.9595 (multiplicity 1)
Ir 0.7352 0.5000 0.6731 (multiplicity 1)
Ir 0.8873 0.5000 0.3108 (multiplicity 1)

Most intense lines, 2θ = 10–80°, by angle:
| 2θ/deg | intensity | index |
| --- | --- | --- |
| 35.75 | 60 | 1 1 0 |
| 36.14 | 26 | 2 0 -1 |
| 39.30 | 72 | 2 0 -2 |
| 39.80 | 70 | 0 0 3 |
| 40.15 | 100 | 1 1 1 |
| 41.28 | 85 | 1 1 -2 |
| 43.76 | 41 | 2 0 1 |
| 49.89 | 31 | 1 1 -3 |
| 64.40 | 31 | 3 1 -1 |
| 77.07 | 25 | 0 2 3 |



[3]
Diffraction record for SnTeIr. The powder XRD pattern is simulated, not measured: it uses DFT lattice parameters and positions (PBE) and Cu Kα.

Cell and atoms:
Cell lengths 6.7298, 6.6764, 6.8693 Å; angles 90.00, 115.62, 90.00 degrees
Space group P2_1/c (No. 14)
Symmetry-distinct sites (fractional):
Sn 0.1520 0.1521 0.3317 (multiplicity 4)
Te 0.3447 0.6276 0.6239 (multiplicity 4)
Ir 0.2348 0.5036 0.2116 (multiplicity 4)

Most intense lines, 2θ = 10–80°, by angle:
| 2θ/deg | intensity | index |
| --- | --- | --- |
| 20.38 | 100 | 1 1 -1 |
| 28.83 | 57 | 0 0 2 |
| 29.44 | 76 | 2 0 0 |
| 30.97 | 91 | 1 2 -1 |
| 31.85 | 52 | 0 1 2 |
| 32.41 | 50 | 2 1 0 |
| 41.90 | 61 | 1 1 -3 |
| 42.79 | 73 | 3 1 -1 |
| 43.61 | 46 | 1 3 -1 |
| 47.98 | 80 | 1 3 1 |



[4]
Diffraction record for Tm8Sn2Ir. The powder XRD pattern is simulated, not measured: it uses DFT lattice parameters and positions (PBE) and Cu Kα.

Cell and atoms:
Cell lengths 19.1615, 4.9396, 6.5356 Å; angles 90.00, 106.10, 90.00 degrees
Space group C2/m (No. 12)
Symmetry-distinct sites (fractional):
Tm 0.0221 0.0000 0.2877 (multiplicity 4)
Tm 0.0887 0.5000 0.9527 (multiplicity 4)
Tm 0.1453 0.5000 0.5009 (multiplicity 4)
Tm 0.2199 0.0000 0.8226 (multiplicity 4)
Sn 0.1815 0.0000 0.2571 (multiplicity 4)
Ir 0.0000 0.5000 0.5000 (multiplicity 2)

Most intense lines, 2θ = 10–80°, by angle:
| 2θ/deg | intensity | index |
| --- | --- | --- |
| 28.62 | 25 | 6 0 -1 |
| 29.25 | 35 | 3 1 1 |
| 30.28 | 64 | 5 1 0 |
| 33.01 | 100 | 1 1 -2 |
| 35.34 | 38 | 1 1 2 |
| 35.97 | 24 | 6 0 1 |
| 36.38 | 90 | 0 2 0 |
| 37.89 | 50 | 7 1 -1 |
| 45.59 | 23 | 8 0 1 |
| 67.15 | 25 | 7 1 3 |



[5]
Diffraction record for Tm5SnIr4. The powder XRD pattern is simulated, not measured: it uses DFT lattice parameters and positions (PBE) and Cu Kα.

Cell and atoms:
Cell lengths 3.2891, 3.2891, 19.0500 Å; angles 90.00, 90.00, 90.00 degrees
Space group P4/mmm (No. 123)
Symmetry-distinct sites (fractional):
Tm 0.0000 0.0000 0.0000 (multiplicity 1)
Tm 0.0000 0.0000 0.1862 (multiplicity 2)
Tm 0.0000 0.0000 0.3721 (multiplicity 2)
Sn 0.5000 0.5000 0.5000 (multiplicity 1)
Ir 0.5000 0.5000 0.0933 (multiplicity 2)
Ir 0.5000 0.5000 0.2823 (multiplicity 2)

Most intense lines, 2θ = 10–80°, by angle:
| 2θ/deg | intensity | index |
| --- | --- | --- |
| 33.10 | 5 | 1 0 4 |
| 36.08 | 100 | 1 0 5 |
| 38.72 | 54 | 1 1 0 |
| 39.45 | 23 | 1 0 6 |
| 52.87 | 7 | 0 0 11 |
| 55.91 | 19 | 2 0 0 |
| 63.08 | 8 | 1 1 10 |
| 67.42 | 13 | 1 1 11 |
| 68.36 | 32 | 2 1 5 |
| 70.57 | 8 | 2 1 6 |



[6]
Diffraction record for Tm6SnIr. The powder XRD pattern is simulated, not measured: it uses DFT lattice parameters and positions (PBE) and Cu Kα.

Cell and atoms:
Cell lengths 6.9688, 11.1525, 6.7344 Å; angles 90.00, 111.70, 90.00 degrees
Space group C2/m (No. 12)
Symmetry-distinct sites (fractional):
Tm 0.2112 0.1906 0.2361 (multiplicity 8)
Tm 0.2399 0.0000 0.7779 (multiplicity 4)
Sn 0.0000 0.5000 0.5000 (multiplicity 2)
Ir 0.0000 0.0000 0.0000 (multiplicity 2)

Most intense lines, 2θ = 10–80°, by angle:
| 2θ/deg | intensity | index |
| --- | --- | --- |
| 17.55 | 17 | 1 1 -1 |
| 24.49 | 26 | 1 1 1 |
| 27.55 | 21 | 2 0 0 |
| 28.53 | 23 | 0 0 2 |
| 28.72 | 38 | 1 3 -1 |
| 31.58 | 62 | 2 0 -2 |
| 32.10 | 19 | 0 4 0 |
| 33.53 | 100 | 1 3 1 |
| 46.09 | 35 | 3 3 -1 |
| 47.33 | 55 | 1 3 -3 |



[7]
Diffraction record for UZnSnIr. The powder XRD pattern is simulated, not measured: it uses DFT lattice parameters and positions (PBE) and Cu Kα.

Cell and atoms:
Cell lengths 6.7739, 6.7739, 6.7739 Å; angles 90.00, 90.00, 90.00 degrees
Space group F-43m (No. 216)
Symmetry-distinct sites (fractional):
U 0.0000 0.0000 0.0000 (multiplicity 4)
Zn 0.2500 0.2500 0.2500 (multiplicity 4)
Sn 0.0000 0.0000 0.5000 (multiplicity 4)
Ir 0.2500 0.2500 0.7500 (multiplicity 4)

Most intense lines, 2θ = 10–80°, by angle:
| 2θ/deg | intensity | index |
| --- | --- | --- |
| 22.74 | 16 | 1 1 1 |
| 26.31 | 3 | 2 0 0 |
| 37.56 | 100 | 2 2 0 |
| 44.35 | 9 | 3 1 1 |
| 46.44 | 1 | 2 2 2 |
| 54.16 | 18 | 4 0 0 |
| 59.48 | 4 | 3 3 1 |
| 61.19 | 1 | 4 2 0 |
| 67.77 | 37 | 4 2 2 |
| 72.51 | 3 | 5 1 1 |



[8]
Diffraction record for Y6SnIr2. The powder XRD pattern is simulated, not measured: it uses DFT lattice parameters and positions (PBE) and Cu Kα.

Cell and atoms:
Cell lengths 9.4993, 9.6625, 10.3990 Å; angles 90.00, 90.00, 90.00 degrees
Space group Immm (No. 71)
Symmetry-distinct sites (fractional):
Y 0.0000 0.2055 0.2385 (multiplicity 8)
Y 0.1902 0.5000 0.1702 (multiplicity 8)
Y 0.2160 0.3175 0.5000 (multiplicity 8)
Sn 0.0000 0.0000 0.0000 (multiplicity 2)
Sn 0.0000 0.0000 0.5000 (multiplicity 2)
Ir 0.0000 0.3348 0.0000 (multiplicity 4)
Ir 0.0000 0.5000 0.3719 (multiplicity 4)

Most intense lines, 2θ = 10–80°, by angle:
| 2θ/deg | intensity | index |
| --- | --- | --- |
| 13.07 | 68 | 1 1 0 |
| 18.68 | 57 | 2 0 0 |
| 31.52 | 57 | 2 2 2 |
| 33.32 | 78 | 2 1 3 |
| 34.08 | 100 | 1 3 2 |
| 34.74 | 98 | 2 3 1 |
| 34.96 | 50 | 3 2 1 |
| 37.89 | 45 | 4 0 0 |
| 38.51 | 41 | 3 0 3 |
| 39.38 | 39 | 0 2 4 |



[9]
Diffraction record for ZnSn5Ir3. The powder XRD pattern is simulated, not measured: it uses DFT lattice parameters and positions (PBE) and Cu Kα.

Cell and atoms:
Cell lengths 11.5317, 9.0737, 9.6813 Å; angles 90.00, 120.04, 90.00 degrees
Space group C2/m (No. 12)
Symmetry-distinct sites (fractional):
Zn 0.0865 0.0000 0.3047 (multiplicity 4)
Sn 0.0000 0.2845 0.0000 (multiplicity 4)
Sn 0.0646 0.5000 0.3695 (multiplicity 4)
Sn 0.1687 0.2129 0.6562 (multiplicity 8)
Sn 0.2301 0.0000 0.0073 (multiplicity 4)
Ir 0.0000 0.0000 0.0000 (multiplicity 2)
Ir 0.0000 0.0000 0.5000 (multiplicity 2)
Ir 0.1608 0.5000 0.1723 (multiplicity 4)
Ir 0.1858 0.5000 0.6874 (multiplicity 4)

Most intense lines, 2θ = 10–80°, by angle:
| 2θ/deg | intensity | index |
| --- | --- | --- |
| 19.57 | 65 | 0 2 0 |
| 19.70 | 88 | 2 0 -2 |
| 28.62 | 53 | 1 1 2 |
| 31.88 | 79 | 2 2 1 |
| 39.73 | 45 | 0 4 0 |
| 40.00 | 41 | 4 0 -4 |
| 40.34 | 100 | 1 3 2 |
| 40.56 | 29 | 1 1 -4 |
| 49.73 | 37 | 5 3 -2 |
| 49.89 | 34 | 1 3 -4 |



[10]
Diffraction record for Zr2Sn2Ir. The powder XRD pattern is simulated, not measured: it uses DFT lattice parameters and positions (PBE) and Cu Kα.

Cell and atoms:
Cell lengths 6.8743, 6.8743, 4.5014 Å; angles 90.00, 90.00, 90.00 degrees
Space group P4/mbm (No. 127)
Symmetry-distinct sites (fractional):
Zr 0.1631 0.3369 0.0000 (multiplicity 4)
Sn 0.1452 0.6452 0.5000 (multiplicity 4)
Ir 0.0000 0.0000 0.5000 (multiplicity 2)

Most intense lines, 2θ = 10–80°, by angle:
| 2θ/deg | intensity | index |
| --- | --- | --- |
| 19.72 | 29 | 0 0 1 |
| 27.00 | 21 | 1 1 1 |
| 32.78 | 26 | 2 0 1 |
| 35.36 | 100 | 2 1 1 |
| 40.06 | 32 | 0 0 2 |
| 41.54 | 53 | 3 1 0 |
| 46.39 | 23 | 3 1 1 |
| 59.08 | 49 | 3 1 2 |
| 69.74 | 16 | 2 1 3 |
| 77.77 | 14 | 5 2 1 |



[11]
Diffraction record for Sr3Ir. The powder XRD pattern is simulated, not measured: it uses DFT lattice parameters and positions (PBE) and Cu Kα.

Cell and atoms:
Cell lengths 8.1213, 10.0853, 6.9501 Å; angles 90.00, 90.00, 90.00 degrees
Space group Pnma (No. 62)
Symmetry-distinct sites (fractional):
Sr 0.0458 0.2500 0.1479 (multiplicity 4)
Sr 0.1658 0.0694 0.6652 (multiplicity 8)
Ir 0.1231 0.7500 0.4568 (multiplicity 4)

Most intense lines, 2θ = 10–80°, by angle:
| 2θ/deg | intensity | index |
| --- | --- | --- |
| 16.79 | 75 | 1 0 1 |
| 17.59 | 58 | 0 2 0 |
| 18.97 | 87 | 1 1 1 |
| 29.32 | 87 | 1 1 2 |
| 31.07 | 68 | 2 2 1 |
| 31.55 | 100 | 1 3 1 |
| 34.64 | 69 | 2 3 0 |
| 35.14 | 68 | 2 1 2 |
| 35.60 | 71 | 3 0 1 |
| 44.45 | 53 | 1 2 3 |



[12]
Diffraction record for Sr5Ir4. The powder XRD pattern is simulated, not measured: it uses DFT lattice parameters and positions (PBE) and Cu Kα.

Cell and atoms:
Cell lengths 9.0161, 9.0161, 6.5665 Å; angles 90.00, 90.00, 120.00 degrees
Space group P6_3/mcm (No. 193)
Symmetry-distinct sites (fractional):
Sr 0.0000 0.2728 0.2500 (multiplicity 6)
Sr 0.3333 0.6667 0.0000 (multiplicity 4)
Ir 0.0000 0.0000 0.0000 (multiplicity 2)
Ir 0.0000 0.3839 0.7500 (multiplicity 6)

Most intense lines, 2θ = 10–80°, by angle:
| 2θ/deg | intensity | index |
| --- | --- | --- |
| 22.78 | 15 | 2 0 0 |
| 23.94 | 25 | 1 1 1 |
| 33.28 | 49 | 2 1 1 |
| 33.77 | 100 | 1 1 2 |
| 34.46 | 76 | 3 0 0 |
| 44.03 | 23 | 3 1 1 |
| 49.02 | 23 | 2 2 2 |
| 61.29 | 20 | 4 1 2 |
| 64.75 | 14 | 4 2 1 |
| 67.45 | 22 | 3 0 4 |



[13]
Diffraction record for Sr8TeIr2. The powder XRD pattern is simulated, not measured: it uses DFT lattice parameters and positions (PBE) and Cu Kα.

Cell and atoms:
Cell lengths 7.4475, 7.8272, 8.4143 Å; angles 99.29, 100.89, 100.92 degrees
Space group P-1 (No. 2)
Symmetry-distinct sites (fractional):
Sr 0.2079 0.0266 0.3967 (multiplicity 2)
Sr 0.2438 0.7606 0.7818 (multiplicity 2)
Sr 0.2595 0.2938 0.8491 (multiplicity 2)
Sr 0.2735 0.5311 0.3286 (multiplicity 2)
Te 0.0000 0.0000 0.0000 (multiplicity 1)
Ir 0.0360 0.3480 0.5385 (multiplicity 2)

Most intense lines, 2θ = 10–80°, by angle:
| 2θ/deg | intensity | index |
| --- | --- | --- |
| 10.94 | 54 | 0 0 1 |
| 12.43 | 100 | 1 0 0 |
| 14.59 | 31 | 1 0 -1 |
| 27.39 | 25 | -1 2 1 |
| 27.72 | 58 | 1 0 2 |
| 28.41 | 46 | 1 2 -1 |
| 29.43 | 29 | 2 0 -2 |
| 32.10 | 28 | -2 2 1 |
| 36.83 | 31 | 0 2 -3 |
| 42.67 | 25 | 3 -2 1 |